For LiZn3Rh, a structure optimized by DFT (PBE) gives the computed X-ray powder pattern in this record (Cu Kα (weighted mean of Kα1 and Kα2)).
Intensities are scaled so that the largest is 1000.

Peak list (6 most intense, 5° ≤ 2θ ≤ 70°, by angle)
2theta	I/Imax	index
24.4	364	0 1 1
41.2	1000	1 1 2
41.3	992	1 1 -3
44.6	398	2 0 -1
44.8	393	0 2 0
65.0	245	2 2 -1

Lattice parameters (Å, degrees): 4.065 4.048 8.709 90.00 103.23 90.00
Sites, in units of the cell vectors:
Li1 0.156 0.250 0.310
Li2 0.844 0.750 0.690
Zn1 0.056 0.750 0.109
Zn2 0.248 0.750 0.501
Zn3 0.446 0.750 0.895
Zn4 0.554 0.250 0.105
Zn5 0.752 0.250 0.499
Zn6 0.944 0.250 0.891
Rh1 0.350 0.250 0.699
Rh2 0.650 0.750 0.301